Entry 1:
Theoretical X-ray diffraction stick pattern
Compound: Na2CoBAsO7
Radiation: Cu Kα (λ = 1.5418 Å)
Structure: DFT lattice parameters and positions (GGA+U)

Atomic structure:
Unit cell a=5.4177 b=6.4259 c=9.3239 alpha=90.00 beta=94.16 gamma=90.00
Element x y z (fractional)
Na 0.2403 0.0003 0.2855
Na 0.2403 0.4997 0.2855
Na 0.7597 0.9997 0.7145
Na 0.7597 0.5003 0.7145
Co 0.2113 0.2500 0.8375
Co 0.7887 0.7500 0.1625
B 0.2662 0.2500 0.5864
B 0.7338 0.7500 0.4136
As 0.2819 0.7500 0.9365
As 0.7181 0.2500 0.0635
O 0.0411 0.2500 0.6504
O 0.1300 0.7500 0.0910
O 0.1934 0.5464 0.8209
O 0.1934 0.9536 0.8209
O 0.3068 0.2500 0.4488
O 0.3990 0.2500 0.0292
O 0.4515 0.2500 0.7015
O 0.5485 0.7500 0.2985
O 0.6010 0.7500 0.9708
O 0.6932 0.7500 0.5512
O 0.8066 0.0464 0.1791
O 0.8066 0.4536 0.1791
O 0.8700 0.2500 0.9090
O 0.9589 0.7500 0.3496

Top 12 peaks for 10 to 90 degrees two-theta, sorted by position:
(hkl), 2θ (°), Rel. int.
0 1 1, 16.77, 48
1 0 -1, 18.38, 32
1 1 1, 24.03, 66
1 0 -2, 24.33, 100
1 0 2, 26.18, 30
0 2 0, 27.77, 63
0 2 1, 29.41, 39
1 1 2, 29.70, 32
2 0 0, 33.16, 57
1 2 -1, 33.51, 41
0 2 2, 33.90, 52
1 1 3, 37.21, 43



Entry 2:
Theoretical X-ray diffraction stick pattern
Compound: Na3CoBAsO7
Radiation: Cu Kα (λ = 1.5418 Å)
Structure: DFT lattice parameters and positions (GGA+U)

Atomic structure:
Unit cell a=5.2880 b=6.8199 c=9.1407 alpha=90.00 beta=91.17 gamma=90.00
Element x y z (fractional)
Na 0.2394 0.2500 0.0825
Na 0.2456 0.0007 0.7569
Na 0.2456 0.4993 0.7569
Na 0.7544 0.5007 0.2431
Na 0.7544 0.9993 0.2431
Na 0.7606 0.7500 0.9175
Co 0.2219 0.7500 0.3341
Co 0.7781 0.2500 0.6659
B 0.2602 0.7500 0.0644
B 0.7398 0.2500 0.9356
As 0.2852 0.2500 0.4247
As 0.7148 0.7500 0.5753
O 0.0219 0.7500 0.1246
O 0.1314 0.2500 0.5882
O 0.2058 0.0543 0.3135
O 0.2058 0.4457 0.3135
O 0.3137 0.7500 0.9211
O 0.3921 0.7500 0.5378
O 0.4528 0.7500 0.1761
O 0.5472 0.2500 0.8239
O 0.6079 0.2500 0.4622
O 0.6863 0.2500 0.0789
O 0.7942 0.5543 0.6865
O 0.7942 0.9457 0.6865
O 0.8686 0.7500 0.4118
O 0.9781 0.2500 0.8754

Top 12 peaks for 10 to 90 degrees two-theta, sorted by position:
(hkl), 2θ (°), Rel. int.
1 0 -1, 19.22, 37
1 1 1, 23.55, 31
1 0 -2, 25.50, 43
0 2 0, 26.12, 100
1 1 2, 29.19, 32
1 2 -1, 32.65, 48
0 2 2, 32.81, 68
1 0 -3, 33.65, 27
2 0 0, 33.91, 58
1 1 3, 36.81, 31
0 2 4, 47.92, 31
0 4 0, 53.76, 29